Entry 1:
Starting from a cell relaxed with PBE, the powder diffraction line list of VGe2 was computed for Cu Kα (weighted mean of Kα1 and Kα2).
Peak positions follow from Bragg's law for the DFT cell and can differ from measured ones.

Structure:
```
VGe2
1.0
-3.0889 3.0889 2.5047
3.0889 -3.0889 2.5047
3.0889 3.0889 -2.5047
V Ge
2 4
direct
0.2500 0.2500 0.0000
0.7500 0.7500 0.0000
0.1583 0.6583 0.8166
0.3417 0.1583 0.5000
0.6583 0.8417 0.5000
0.8417 0.3417 0.1834
```

Largest 10 diffraction maxima, by angle, 2θ from 10° to 90°:
2θ (°)	d/Å	Rel. int.
35.9	2.505	10
37.2	2.419	100
41.6	2.173	24
46.5	1.954	33
46.7	1.945	23
65.0	1.435	12
65.3	1.429	19
71.8	1.315	11
75.5	1.259	17
87.2	1.118	11



Entry 2:
Starting from a cell relaxed with PBE, the powder diffraction line list of V5Ge4W2 was computed for Cu Kα (weighted mean of Kα1 and Kα2).
Peak positions follow from Bragg's law for the DFT cell and can differ from measured ones.

Structure:
```
V5Ge4W2
1.0
-1.5574 4.0513 7.2262
1.5574 -4.0513 7.2262
1.5574 4.0513 -7.2262
V Ge W
5 4 2
direct
0.0000 0.0000 0.0000
0.1245 0.3141 0.8104
0.4962 0.6859 0.8104
0.5038 0.3141 0.1896
0.8755 0.6859 0.1896
0.2116 0.7116 0.5000
0.2727 0.5000 0.7727
0.7273 0.5000 0.2273
0.7884 0.2884 0.5000
0.4084 0.9084 0.5000
0.5916 0.0916 0.5000
```

Largest 10 diffraction maxima, by angle, 2θ from 10° to 90°:
2θ (°)	d/Å	Rel. int.
12.5	7.068	100
30.8	2.907	23
32.9	2.722	30
36.9	2.434	58
42.7	2.119	42
43.7	2.070	21
44.4	2.041	32
46.0	1.973	33
49.1	1.855	23
77.3	1.235	19



Entry 3:
Starting from a cell relaxed with PBE, the powder diffraction line list of V6GeW5 was computed for Cu Kα (weighted mean of Kα1 and Kα2).
Peak positions follow from Bragg's law for the DFT cell and can differ from measured ones.

Structure:
```
V6GeW5
1.0
-2.1710 3.0814 6.5392
2.1710 -3.0814 6.5392
2.1710 3.0814 -6.5392
V Ge W
6 1 5
direct
0.0801 0.3321 0.7479
0.2434 0.0000 0.2434
0.4158 0.6679 0.7479
0.5842 0.3321 0.2521
0.7566 0.0000 0.7566
0.9199 0.6679 0.2521
0.5000 0.5000 0.0000
0.0000 0.5000 0.5000
0.1684 0.1684 0.0000
0.3378 0.8378 0.5000
0.6622 0.1622 0.5000
0.8316 0.8316 0.0000
```

Largest 10 diffraction maxima, by angle, 2θ from 10° to 90°:
2θ (°)	d/Å	Rel. int.
29.0	3.078	43
41.5	2.178	100
41.6	2.171	20
51.5	1.775	6
60.0	1.541	7
60.2	1.538	13
68.1	1.377	14
75.6	1.258	20
75.7	1.256	7
75.8	1.255	13



Entry 4:
Starting from a cell relaxed with PBE, the powder diffraction line list of VGe2W was computed for Cu Kα (weighted mean of Kα1 and Kα2).
Peak positions follow from Bragg's law for the DFT cell and can differ from measured ones.

Structure:
```
VGe2W
1.0
1.5878 -7.8088 0.0000
1.5878 7.8088 0.0000
0.0000 0.0000 5.2371
V Ge W
2 4 2
direct
0.1250 0.8750 0.5000
0.8750 0.1250 0.0000
0.1074 0.8926 0.9990
0.2629 0.7371 0.2055
0.7371 0.2629 0.7055
0.8926 0.1074 0.4990
0.4942 0.5058 0.7717
0.5058 0.4942 0.2717
```

Largest 10 diffraction maxima, by angle, 2θ from 10° to 90°:
2θ (°)	d/Å	Rel. int.
11.3	7.809	100
22.8	3.904	24
33.0	2.711	60
40.5	2.227	64
41.5	2.175	74
45.3	2.004	72
46.5	1.952	24
58.1	1.588	16
71.7	1.316	24
73.9	1.282	26